EuMgPd: theoretical powder diffractogram (Cu Ka), based on a structure optimized by DFT (PBE).
No peak broadening, texture or thermal motion is included.

Atomic structure:
Cell lengths 7.4902, 4.3912, 8.6445 Å; angles 90.00, 90.00, 90.00 degrees
Space group Pnma (No. 62)
One atom of each set of equivalent atoms:
Eu  0.0323  0.2500  0.1766 (multiplicity 4)
Mg  0.1371  0.2500  0.5605 (multiplicity 4)
Pd  0.2292  0.7500  0.3757 (multiplicity 4)

Top 10 peaks for 2θ from 5° to 70°, sorted by position:
- hkl 1 0 2, 2θ 23.77, intensity 16
- hkl 1 1 1, 2θ 25.68, intensity 25
- hkl 1 1 2, 2θ 31.40, intensity 65
- hkl 2 1 1, 2θ 33.10, intensity 100
- hkl 1 0 3, 2θ 33.32, intensity 25
- hkl 1 1 3, 2θ 39.28, intensity 20
- hkl 0 2 0, 2θ 41.11, intensity 28
- hkl 3 0 2, 2θ 41.79, intensity 28
- hkl 3 2 2, 2θ 60.06, intensity 19
- hkl 2 3 1, 2θ 69.84, intensity 18